Diffraction record for Rb5Hg5Pt. The powder X-ray diffraction pattern is computed, not measured: it uses a DFT-relaxed cell (PBE, Alexandria) and Cu Kα (weighted mean of Kα1 and Kα2).
Kinematic intensities with the Lorentz-polarization factor, no thermal factor.

Largest 10 diffraction maxima, in order of rising 2θ, 5 to 70 degrees two-theta:
| 2θ (°) | Rel. int. | hkl |
| --- | --- | --- |
| 11.78 | 100.0 | 0 1 1 |
| 16.19 | 58.3 | 1 0 1 |
| 26.70 | 51.2 | 1 1 4 |
| 28.14 | 45.5 | 0 0 6 |
| 28.79 | 62.6 | 0 2 4 |
| 30.34 | 71.2 | 1 2 3 |
| 31.29 | 67.4 | 2 0 0 |
| 35.85 | 47.9 | 0 3 3 |
| 36.55 | 36.0 | 1 3 0 |
| 43.02 | 48.6 | 2 2 4 |

```
data_Rb5Hg5Pt
_cell_length_a 5.7180
_cell_length_b 8.1756
_cell_length_c 19.0385
_cell_angle_alpha 90.00
_cell_angle_beta 90.00
_cell_angle_gamma 90.00
_symmetry_space_group_name_H-M 'I m m m'
_symmetry_Int_Tables_number 71
_symmetry_space_group_name_Hall '-I 2 2'
loop_
_atom_site_label
_atom_site_type_symbol
_atom_site_fract_x
_atom_site_fract_y
_atom_site_fract_z
Rb1 Rb 0.0000 0.0000 0.0000
Rb2 Rb 0.0000 0.0000 0.2983
Rb3 Rb 0.0000 0.5000 0.3474
Hg1 Hg 0.0000 0.0000 0.5000
Hg2 Hg 0.0000 0.3087 0.1251
Pt1 Pt 0.0000 0.5000 0.0000
```